# Ba2Cu2HgO6
Computed XRD peak list, Cu Kα, 1.54184 Å. Input: a DFT-relaxed cell (PBE, Alexandria).

Atomic structure:
Lattice parameters (Å, degrees): 3.7287 3.7287 13.8407 90.00 90.00 90.00
Sites, in units of the cell vectors:
Ba 0.0000 0.0000 0.2228
Ba 0.0000 0.0000 0.7772
Cu 0.5000 0.5000 0.3920
Cu 0.5000 0.5000 0.6080
Hg 0.5000 0.5000 0.0000
O 0.0000 0.5000 0.3632
O 0.0000 0.5000 0.6368
O 0.5000 0.0000 0.3632
O 0.5000 0.0000 0.6368
O 0.5000 0.5000 0.1450
O 0.5000 0.5000 0.8550

Top 10 peaks for 2θ = 5–70°, low angle first:
6.39 deg, I 30
27.17 deg, I 100
30.83 deg, I 43
32.34 deg, I 22
34.00 deg, I 41
47.63 deg, I 25
48.85 deg, I 22
52.38 deg, I 16
56.79 deg, I 26
58.88 deg, I 17

# Ba2Tl2Cu2HgO8
Computed XRD peak list, Cu Kα, 1.54184 Å. Input: a DFT-relaxed cell (PBE, Alexandria).

Atomic structure:
Lattice parameters (Å, degrees): 15.0965 15.0965 15.0965 165.12 165.12 21.11
Sites, in units of the cell vectors:
Ba 0.0000 0.0000 0.0000
Ba 0.2520 0.2520 0.0000
Tl 0.1266 0.1266 0.0000
Tl 0.8420 0.8420 0.0000
Cu 0.5693 0.5693 0.0000
Cu 0.6824 0.6824 0.0000
Hg 0.4159 0.4159 0.0000
O 0.0775 0.5775 0.5000
O 0.1783 0.6783 0.5000
O 0.3434 0.3434 0.0000
O 0.4875 0.4875 0.0000
O 0.5775 0.0775 0.5000
O 0.6783 0.1783 0.5000
O 0.7721 0.7721 0.0000
O 0.9103 0.9103 0.0000

Top 10 peaks for 2θ = 5–70°, low angle first:
11.93 deg, I 14
24.48 deg, I 11
27.31 deg, I 16
31.11 deg, I 100
32.38 deg, I 65
40.65 deg, I 13
46.45 deg, I 30
54.54 deg, I 16
56.96 deg, I 38
67.79 deg, I 9

# Ba4Tl2Cu2HgO10
Computed XRD peak list, Cu Kα, 1.54184 Å. Input: a DFT-relaxed cell (PBE, Alexandria).

Atomic structure:
Lattice parameters (Å, degrees): 21.9634 21.9634 21.9634 169.77 169.77 14.49
Sites, in units of the cell vectors:
Ba 0.0687 0.0687 0.0000
Ba 0.1577 0.1577 0.0000
Ba 0.8423 0.8423 0.0000
Ba 0.9313 0.9313 0.0000
Tl 0.2762 0.2762 0.0000
Tl 0.7238 0.7238 0.0000
Cu 0.3867 0.3867 0.0000
Cu 0.6133 0.6133 0.0000
Hg 0.5000 0.5000 0.0000
O 0.1128 0.6128 0.5000
O 0.2285 0.2285 0.0000
O 0.3229 0.3229 0.0000
O 0.3872 0.8872 0.5000
O 0.4538 0.4538 0.0000
O 0.5462 0.5462 0.0000
O 0.6128 0.1128 0.5000
O 0.6771 0.6771 0.0000
O 0.7715 0.7715 0.0000
O 0.8872 0.3872 0.5000

Top 10 peaks for 2θ = 5–70°, low angle first:
24.92 deg, I 27
29.32 deg, I 100
32.31 deg, I 58
37.14 deg, I 12
43.74 deg, I 14
46.35 deg, I 25
50.04 deg, I 15
53.74 deg, I 10
55.80 deg, I 34
60.83 deg, I 11

# BaCu4HgP2
Computed XRD peak list, Cu Kα, 1.54184 Å. Input: a DFT-relaxed cell (PBE, Alexandria).

Atomic structure:
Lattice parameters (Å, degrees): 4.0735 4.0735 9.5768 90.00 90.00 90.00
Sites, in units of the cell vectors:
Ba 0.0000 0.0000 0.0000
Cu 0.0000 0.5000 0.3008
Cu 0.0000 0.5000 0.6992
Cu 0.5000 0.0000 0.3008
Cu 0.5000 0.0000 0.6992
Hg 0.0000 0.0000 0.5000
P 0.5000 0.5000 0.1987
P 0.5000 0.5000 0.8013

Top 10 peaks for 2θ = 5–70°, low angle first:
9.23 deg, I 36
21.82 deg, I 47
28.77 deg, I 100
36.40 deg, I 95
37.57 deg, I 16
42.26 deg, I 29
43.86 deg, I 22
44.48 deg, I 46
53.84 deg, I 34
59.59 deg, I 16

# Ba4HoCu3O9
Computed XRD peak list, Cu Kα, 1.54184 Å. Input: a DFT-relaxed cell (PBE, Alexandria).

Atomic structure:
Lattice parameters (Å, degrees): 8.1494 8.1494 8.1494 90.00 90.00 90.00
Sites, in units of the cell vectors:
Ba 0.2500 0.2500 0.2500
Ba 0.2500 0.2500 0.7500
Ba 0.2500 0.7500 0.2500
Ba 0.2500 0.7500 0.7500
Ba 0.7500 0.2500 0.2500
Ba 0.7500 0.2500 0.7500
Ba 0.7500 0.7500 0.2500
Ba 0.7500 0.7500 0.7500
Ho 0.0000 0.0000 0.0000
Ho 0.5000 0.5000 0.5000
Cu 0.0000 0.0000 0.5000
Cu 0.0000 0.5000 0.0000
Cu 0.0000 0.5000 0.5000
Cu 0.5000 0.0000 0.0000
Cu 0.5000 0.0000 0.5000
Cu 0.5000 0.5000 0.0000
O 0.0000 0.0000 0.2723
O 0.0000 0.0000 0.7277
O 0.0000 0.2500 0.5000
O 0.0000 0.2723 0.0000
O 0.0000 0.7277 0.0000
O 0.0000 0.7500 0.5000
O 0.2277 0.5000 0.5000
O 0.2500 0.5000 0.0000
O 0.2723 0.0000 0.0000
O 0.5000 0.0000 0.2500
O 0.5000 0.0000 0.7500
O 0.5000 0.2277 0.5000
O 0.5000 0.5000 0.2277
O 0.5000 0.5000 0.7723
O 0.5000 0.7723 0.5000
O 0.7277 0.0000 0.0000
O 0.7500 0.5000 0.0000
O 0.7723 0.5000 0.5000

Top 10 peaks for 2θ = 5–70°, low angle first:
15.38 deg, I 8
21.81 deg, I 2
26.80 deg, I 2
31.04 deg, I 100
34.81 deg, I 3
38.26 deg, I 5
41.46 deg, I 2
44.47 deg, I 27
55.22 deg, I 39
64.70 deg, I 17

# Ba2HoCu3O6
Computed XRD peak list, Cu Kα, 1.54184 Å. Input: a DFT-relaxed cell (PBE, Alexandria).

Atomic structure:
Lattice parameters (Å, degrees): 3.8753 3.8753 12.1359 90.00 90.00 90.00
Sites, in units of the cell vectors:
Ba 0.0000 0.0000 0.1963
Ba 0.0000 0.0000 0.8037
Ho 0.0000 0.0000 0.5000
Cu 0.5000 0.5000 0.0000
Cu 0.5000 0.5000 0.3688
Cu 0.5000 0.5000 0.6312
O 0.0000 0.5000 0.3823
O 0.0000 0.5000 0.6177
O 0.5000 0.0000 0.3823
O 0.5000 0.0000 0.6177
O 0.5000 0.5000 0.1494
O 0.5000 0.5000 0.8506

Top 10 peaks for 2θ = 5–70°, low angle first:
7.28 deg, I 44
22.95 deg, I 13
31.98 deg, I 100
32.68 deg, I 60
37.65 deg, I 22
39.73 deg, I 15
46.89 deg, I 31
56.55 deg, I 12
57.88 deg, I 37
61.63 deg, I 10